Entry 1:
This entry pairs a crystal structure of ThCd11Ag with its calculated XRD peak list. Radiation: Cu Ka. Structure: a structure optimized by DFT (PBE).
Lines closer than 0.1° are merged.

Main lines, sorted by position (2θ = 10–90°):
2θ = 30.2°, rel. 23; 2θ = 30.9°, rel. 65; 2θ = 35.3°, rel. 53; 2θ = 35.4°, rel. 47; 2θ = 35.9°, rel. 100; 2θ = 36.0°, rel. 33; 2θ = 36.2°, rel. 74; 2θ = 39.8°, rel. 42; 2θ = 62.9°, rel. 22; 2θ = 64.9°, rel. 22

Crystal structure
a b c (Å): 5.9134 14.0621 7.6044
angles (deg): 90.00 112.61 90.00
Space group C2/m (No. 12)
Asymmetric unit:
Th (0.0000, 0.0000, 0.0000) [2 per cell]
Cd (0.0000, 0.0000, 0.5000) [2 per cell]
Cd (0.1026, 0.3945, 0.2145) [8 per cell]
Cd (0.1842, 0.1736, 0.3537) [8 per cell]
Cd (0.2500, 0.2500, 0.0000) [4 per cell]
Ag (0.0000, 0.5000, 0.5000) [2 per cell]

Entry 2:
This entry pairs a crystal structure of SrSi3Pd10 with its calculated XRD peak list. Radiation: Cu Ka. Structure: a structure optimized by DFT (PBE).
Lines closer than 0.1° are merged.

Main lines, sorted by position (2θ = 10–90°):
2θ = 32.4°, rel. 36; 2θ = 35.6°, rel. 16; 2θ = 37.9°, rel. 100; 2θ = 41.4°, rel. 22; 2θ = 43.4°, rel. 48; 2θ = 48.9°, rel. 17; 2θ = 62.0°, rel. 12; 2θ = 64.0°, rel. 25; 2θ = 69.4°, rel. 13; 2θ = 75.5°, rel. 16

Crystal structure
a b c (Å): 12.3431 12.3431 12.3431
angles (deg): 90.00 90.00 90.00
Space group Fm-3m (No. 225)
Asymmetric unit:
Sr (0.2500, 0.2500, 0.2500) [8 per cell]
Si (0.0000, 0.0000, 0.2337) [24 per cell]
Pd (0.0000, 0.1711, 0.3289) [48 per cell]
Pd (0.1135, 0.1135, 0.1135) [32 per cell]

Entry 3:
This entry pairs a crystal structure of Ca2NiAg2H4 with its calculated XRD peak list. Radiation: Cu Ka. Structure: a structure optimized by DFT (PBE).
Lines closer than 0.1° are merged.

Main lines, sorted by position (2θ = 10–90°):
2θ = 22.0°, rel. 74; 2θ = 31.3°, rel. 100; 2θ = 38.2°, rel. 72; 2θ = 44.9°, rel. 37; 2θ = 50.2°, rel. 62; 2θ = 50.5°, rel. 16; 2θ = 60.4°, rel. 17; 2θ = 69.6°, rel. 22; 2θ = 74.3°, rel. 15; 2θ = 78.3°, rel. 16

Crystal structure
a b c (Å): 5.7115 5.7115 7.7590
angles (deg): 90.00 90.00 90.00
Space group I4/mmm (No. 139)
Asymmetric unit:
Ca (0.0000, 0.5000, 0.2500) [4 per cell]
Ni (0.0000, 0.0000, 0.0000) [2 per cell]
Ag (0.0000, 0.0000, 0.3335) [4 per cell]
H (0.1991, 0.1991, 0.0000) [8 per cell]